Structure and calculated X-ray diffraction stick pattern of MgGa2 (a PBE-relaxed structure; Cu Kα X-rays).
Intensities are scaled so that the largest is 100.

a = 5.2507 Å, b = 5.2507 Å, c = 4.8734 Å
α = 90.00°, β = 90.00°, γ = 120.00°
Space group P-62m (No. 189)
Asymmetric unit:
Mg1 0.3333 0.6667 0.0000 x2
Ga1 0.0000 0.0000 0.0000 x1
Ga2 0.0000 0.6666 0.5000 x3

The 6 most intense peaks (15 to 90 degrees two-theta), in order of rising 2θ:
| 2θ/deg | I/Imax | hkl |
| --- | --- | --- |
| 34.15 | 28.8 | 1 1 0 |
| 36.89 | 25.3 | 0 0 2 |
| 38.97 | 100.0 | 1 1 1 |
| 51.14 | 17.9 | 1 1 2 |
| 67.84 | 18.4 | 1 1 3 |
| 73.59 | 18.7 | 3 0 2 |

=====

Structure and calculated X-ray diffraction stick pattern of MgGa2 (a PBE-relaxed structure; Cu Kα X-rays).
Intensities are scaled so that the largest is 100.

a = 3.186 Å, b = 14.599 Å, c = 5.035 Å
α = 90.00°, β = 90.00°, γ = 90.00°
Space group Cmcm (No. 63)
Asymmetric unit:
Mg1 0.000 0.218 0.250 x4
Ga1 0.000 0.106 0.750 x4
Ga2 0.000 0.448 0.750 x4

The 6 most intense peaks (15 to 90 degrees two-theta), in order of rising 2θ:
| 2θ/deg | I/Imax | hkl |
| --- | --- | --- |
| 33.62 | 24.2 | 1 3 0 |
| 35.66 | 40.9 | 0 0 2 |
| 38.20 | 100.0 | 1 3 1 |
| 41.21 | 40.0 | 0 6 1 |
| 65.75 | 19.2 | 1 3 3 |
| 75.90 | 15.7 | 1 9 2 |

=====

Structure and calculated X-ray diffraction stick pattern of MgGa3 (a PBE-relaxed structure; Cu Kα X-rays).
Intensities are scaled so that the largest is 100.

a = 4.210 Å, b = 4.210 Å, c = 4.210 Å
α = 90.00°, β = 90.00°, γ = 90.00°
Space group Pm-3m (No. 221)
Asymmetric unit:
Mg1 0.000 0.000 0.000 x1
Ga1 0.000 0.500 0.500 x3

The 6 most intense peaks (15 to 90 degrees two-theta), in order of rising 2θ:
| 2θ/deg | I/Imax | hkl |
| --- | --- | --- |
| 21.10 | 11.5 | 1 0 0 |
| 36.99 | 100.0 | 1 1 1 |
| 42.97 | 48.8 | 2 0 0 |
| 62.39 | 31.0 | 2 2 0 |
| 74.80 | 35.5 | 3 1 1 |
| 78.75 | 10.2 | 2 2 2 |

=====

Structure and calculated X-ray diffraction stick pattern of Mg2Ga (a PBE-relaxed structure; Cu Kα X-rays).
Intensities are scaled so that the largest is 100.

a = 9.091 Å, b = 5.384 Å, c = 6.054 Å
α = 90.00°, β = 124.25°, γ = 90.00°
Space group C2/c (No. 15)
Asymmetric unit:
Mg1 0.170 0.087 0.252 x8
Ga1 0.000 0.419 0.750 x4

The 6 most intense peaks (15 to 90 degrees two-theta), in order of rising 2θ:
| 2θ/deg | I/Imax | hkl |
| --- | --- | --- |
| 20.29 | 74.0 | 1 1 0 |
| 34.02 | 44.4 | 3 1 -1 |
| 35.89 | 75.8 | 0 0 2 |
| 37.52 | 100.0 | 3 1 -2 |
| 37.95 | 97.8 | 0 2 1 |
| 39.68 | 85.1 | 3 1 0 |